The following is a theoretical PXRD pattern of ZrFe4P2. It was derived from the PBE geometry in the Materials Project, using CuKα.
Intensities are scaled so that the largest is 100.

Crystal structure
```
data_ZrFe4P2
_space_group_name_H-M_alt 'P 42/m n m'
_space_group_IT_number 136
_space_group_name_Hall '-P 4n 2n'
_cell_length_a 6.887
_cell_length_b 6.887
_cell_length_c 3.635
_cell_angle_alpha 90.00
_cell_angle_beta 90.00
_cell_angle_gamma 90.00
loop_
_atom_site_label
_atom_site_fract_x
_atom_site_fract_y
_atom_site_fract_z
Zr1 0.000 0.000 0.000
Fe1 0.087 0.342 0.500
P1 0.217 0.783 0.500
```

Main lines, sorted by position (2θ from 15° to 90°):
- 38.3 deg, d 2.350, I 100.0
- 41.5 deg, d 2.178, I 46.3
- 44.8 deg, d 2.023, I 40.9
- 48.7 deg, d 1.868, I 37.9
- 50.2 deg, d 1.818, I 27.0
- 55.0 deg, d 1.670, I 15.2
- 61.1 deg, d 1.518, I 10.6
- 67.1 deg, d 1.395, I 20.3
- 73.5 deg, d 1.288, I 20.4
- 77.6 deg, d 1.230, I 10.3

***

The following is a theoretical PXRD pattern of ScAl3C3. It was derived from the PBE geometry in the Materials Project, using CuKα.
Intensities are scaled so that the largest is 100.

Crystal structure
```
data_ScAl3C3
_space_group_name_H-M_alt 'P 63/m m c'
_space_group_IT_number 194
_space_group_name_Hall '-P 6c 2c'
_cell_length_a 3.3616
_cell_length_b 3.3616
_cell_length_c 16.7896
_cell_angle_alpha 90.00
_cell_angle_beta 90.00
_cell_angle_gamma 120.00
loop_
_atom_site_label
_atom_site_fract_x
_atom_site_fract_y
_atom_site_fract_z
Sc1 0.0000 0.0000 0.0000
Al1 0.3333 0.6667 0.1291
Al2 0.3333 0.6667 0.7500
C1 0.3333 0.6667 0.2500
C2 0.3333 0.6667 0.5866
```

Main lines, sorted by position (2θ from 15° to 90°):
- 32.6 deg, d 2.751, I 100.0
- 34.7 deg, d 2.583, I 15.9
- 37.6 deg, d 2.392, I 63.1
- 41.0 deg, d 2.200, I 49.4
- 43.1 deg, d 2.099, I 33.0
- 44.9 deg, d 2.017, I 49.5
- 54.6 deg, d 1.681, I 67.9
- 64.0 deg, d 1.454, I 14.1
- 65.0 deg, d 1.434, I 11.5
- 72.0 deg, d 1.312, I 40.2

***

The following is a theoretical PXRD pattern of NaLa4I7N2. It was derived from the PBE geometry in the Materials Project, using CuKα.
Intensities are scaled so that the largest is 100.

Crystal structure
```
data_NaLa4I7N2
_space_group_name_H-M_alt 'P n a 21'
_space_group_IT_number 33
_space_group_name_Hall 'P 2c -2n'
_cell_length_a 14.466
_cell_length_b 11.336
_cell_length_c 12.159
_cell_angle_alpha 90.00
_cell_angle_beta 90.00
_cell_angle_gamma 90.00
loop_
_atom_site_label
_atom_site_fract_x
_atom_site_fract_y
_atom_site_fract_z
Na1 0.092 0.048 0.000
La1 0.084 0.376 0.323
La2 0.086 0.622 0.559
La3 0.088 0.393 0.801
La4 0.103 0.586 0.065
I1 0.018 0.848 0.705
I2 0.028 0.189 0.535
I3 0.051 0.820 0.358
I4 0.200 0.314 0.045
I5 0.225 0.628 0.832
I6 0.235 0.402 0.574
I7 0.248 0.574 0.284
N1 0.003 0.488 0.187
N2 0.003 0.495 0.937
```

Main lines, sorted by position (2θ from 15° to 90°):
- 26.4 deg, d 3.375, I 15.6
- 27.8 deg, d 3.214, I 15.4
- 28.4 deg, d 3.144, I 100.0
- 29.4 deg, d 3.040, I 22.3
- 29.8 deg, d 2.996, I 10.4
- 30.5 deg, d 2.934, I 13.6
- 31.6 deg, d 2.834, I 12.4
- 37.5 deg, d 2.400, I 10.8
- 41.0 deg, d 2.199, I 10.6
- 51.5 deg, d 1.774, I 12.1

***

The following is a theoretical PXRD pattern of Nb3CrS6. It was derived from the PBE geometry in the Materials Project, using CuKα.
Intensities are scaled so that the largest is 100.

Crystal structure
```
data_Nb3CrS6
_space_group_name_H-M_alt 'P 63 2 2'
_space_group_IT_number 182
_space_group_name_Hall 'P 6c 2c'
_cell_length_a 5.8048
_cell_length_b 5.8048
_cell_length_c 12.1962
_cell_angle_alpha 90.00
_cell_angle_beta 90.00
_cell_angle_gamma 120.00
loop_
_atom_site_label
_atom_site_fract_x
_atom_site_fract_y
_atom_site_fract_z
Nb1 0.0000 0.0000 0.0000
Nb2 0.3333 0.6667 0.0028
Cr1 0.3333 0.6667 0.7500
S1 0.0027 0.3346 0.6300
```

Main lines, sorted by position (2θ from 15° to 90°):
- 30.8 deg, d 2.902, I 39.2
- 31.7 deg, d 2.824, I 17.8
- 34.2 deg, d 2.621, I 58.1
- 38.1 deg, d 2.362, I 12.8
- 43.0 deg, d 2.102, I 100.0
- 54.8 deg, d 1.676, I 35.2
- 55.2 deg, d 1.665, I 11.8
- 57.0 deg, d 1.616, I 11.4
- 72.1 deg, d 1.310, I 20.1
- 86.3 deg, d 1.128, I 18.4

***

The following is a theoretical PXRD pattern of CsHoMnSe3. It was derived from the PBE geometry in the Materials Project, using CuKα.
Intensities are scaled so that the largest is 100.

Crystal structure
```
data_CsHoMnSe3
_space_group_name_H-M_alt 'C m c m'
_space_group_IT_number 63
_space_group_name_Hall '-C 2c 2'
_cell_length_a 4.243
_cell_length_b 16.191
_cell_length_c 11.025
_cell_angle_alpha 90.00
_cell_angle_beta 90.00
_cell_angle_gamma 90.00
loop_
_atom_site_label
_atom_site_fract_x
_atom_site_fract_y
_atom_site_fract_z
Cs1 0.000 0.242 0.250
Ho1 0.000 0.500 0.000
Mn1 0.000 0.037 0.750
Se1 0.000 0.115 0.556
Se2 0.000 0.446 0.750
```

Main lines, sorted by position (2θ from 15° to 90°):
- 19.5 deg, d 4.556, I 57.0
- 26.7 deg, d 3.339, I 74.7
- 27.9 deg, d 3.193, I 100.0
- 31.3 deg, d 2.854, I 43.7
- 32.5 deg, d 2.756, I 44.7
- 38.6 deg, d 2.332, I 59.9
- 42.6 deg, d 2.121, I 35.0
- 49.6 deg, d 1.839, I 35.7
- 51.4 deg, d 1.778, I 34.3
- 59.5 deg, d 1.553, I 31.0

***

The following is a theoretical PXRD pattern of LaGe2Ir3. It was derived from the PBE geometry in the Materials Project, using CuKα.
Intensities are scaled so that the largest is 100.

Crystal structure
```
data_LaGe2Ir3
_space_group_name_H-M_alt 'P 6/m m m'
_space_group_IT_number 191
_space_group_name_Hall '-P 6 2'
_cell_length_a 5.6942
_cell_length_b 5.6942
_cell_length_c 3.8558
_cell_angle_alpha 90.00
_cell_angle_beta 90.00
_cell_angle_gamma 120.00
loop_
_atom_site_label
_atom_site_fract_x
_atom_site_fract_y
_atom_site_fract_z
La1 0.0000 0.0000 0.0000
Ge1 0.3333 0.6667 0.0000
Ir1 0.0000 0.5000 0.5000
```

Main lines, sorted by position (2θ from 15° to 90°):
- 18.0 deg, d 4.931, I 23.5
- 29.4 deg, d 3.037, I 55.7
- 36.4 deg, d 2.466, I 100.0
- 39.3 deg, d 2.290, I 93.3
- 43.6 deg, d 2.077, I 79.3
- 47.1 deg, d 1.928, I 30.0
- 61.0 deg, d 1.519, I 45.7
- 61.3 deg, d 1.512, I 25.3
- 65.6 deg, d 1.424, I 33.5
- 84.6 deg, d 1.145, I 33.8

***

The following is a theoretical PXRD pattern of Al14Cu3Se24. It was derived from the PBE geometry in the Materials Project, using CuKα.
Intensities are scaled so that the largest is 100.

Crystal structure
```
data_Al14Cu3Se24
_space_group_name_H-M_alt 'C 1 m 1'
_space_group_IT_number 8
_space_group_name_Hall 'C -2y'
_cell_length_a 12.919
_cell_length_b 7.502
_cell_length_c 18.457
_cell_angle_alpha 90.00
_cell_angle_beta 90.13
_cell_angle_gamma 90.00
loop_
_atom_site_label
_atom_site_fract_x
_atom_site_fract_y
_atom_site_fract_z
Al1 0.000 0.000 0.000
Al2 0.001 0.000 0.382
Al3 0.087 0.262 0.206
Al4 0.166 0.500 0.048
Al5 0.172 0.500 0.666
Al6 0.254 0.238 0.872
Al7 0.325 0.500 0.206
Al8 0.331 0.000 0.711
Al9 0.335 0.000 0.335
Al10 0.420 0.261 0.540
Al11 0.492 0.000 0.872
Cu1 0.164 0.500 0.417
Cu2 0.333 0.000 0.083
Cu3 0.499 0.500 0.748
Se1 0.000 0.000 0.133
Se2 0.008 0.500 0.127
Se3 0.079 0.238 0.460
Se4 0.089 0.267 0.955
Se5 0.155 0.000 0.288
Se6 0.166 0.500 0.801
Se7 0.167 0.500 0.285
Se8 0.174 0.000 0.794
Se9 0.246 0.262 0.127
Se10 0.255 0.233 0.622
Se11 0.321 0.500 0.955
Se12 0.333 0.000 0.465
Se13 0.333 0.000 0.952
Se14 0.341 0.500 0.460
Se15 0.413 0.237 0.793
Se16 0.422 0.269 0.288
Se17 0.489 0.000 0.622
Se18 0.499 0.500 0.619
```

Main lines, sorted by position (2θ from 15° to 90°):
- 29.0 deg, d 3.076, I 35.8
- 29.2 deg, d 3.061, I 70.7
- 29.3 deg, d 3.046, I 35.6
- 33.8 deg, d 2.651, I 100.0
- 48.4 deg, d 1.881, I 39.2
- 48.5 deg, d 1.875, I 38.8
- 48.8 deg, d 1.867, I 38.4
- 57.5 deg, d 1.604, I 14.2
- 57.7 deg, d 1.597, I 18.8
- 71.1 deg, d 1.326, I 17.2